Entry 1:
Structure and calculated XRD peak list of La6Pr4Er (DFT lattice parameters and positions (GGA-PBE); copper Kα).
Neutral-atom scattering factors, no anomalous dispersion.

Structure:
abc: 6.066 9.936 26.371
angles: 90.00 90.00 90.00
Space group Cmcm (No. 63)
Unique sites:
La 0.000 0.000 0.000 (multiplicity 4)
La 0.000 0.059 0.250 (multiplicity 4)
La 0.000 0.293 0.605 (multiplicity 8)
La 0.000 0.384 0.185 (multiplicity 8)
Pr 0.000 0.056 0.125 (multiplicity 8)
Pr 0.000 0.352 0.045 (multiplicity 8)
Er 0.000 0.282 0.750 (multiplicity 4)

Principal peaks in the range 2θ = 15–90°, in order of rising 2θ:
d = 3.046 Å, intensity 79, (1 1 7); d = 3.033 Å, intensity 100, (2 0 0); d = 3.002 Å, intensity 72, (0 2 7); d = 2.907 Å, intensity 82, (1 3 0); d = 2.889 Å, intensity 88, (1 3 1); d = 2.781 Å, intensity 78, (1 1 8)

Entry 2:
Structure and calculated XRD peak list of LaPr2Er5 (DFT lattice parameters and positions (GGA-PBE); copper Kα).
Neutral-atom scattering factors, no anomalous dispersion.

Structure:
abc: 3.568 11.221 13.168
angles: 90.00 90.00 90.00
Space group Immm (No. 71)
Unique sites:
La 0.000 0.000 0.000 (multiplicity 2)
Pr 0.000 0.500 0.258 (multiplicity 4)
Er 0.000 0.229 0.368 (multiplicity 8)
Er 0.000 0.500 0.000 (multiplicity 2)

Principal peaks in the range 2θ = 15–90°, in order of rising 2θ:
d = 2.935 Å, intensity 73, (1 2 1); d = 2.840 Å, intensity 100, (0 2 4); d = 2.805 Å, intensity 42, (0 4 0); d = 2.769 Å, intensity 46, (1 0 3); d = 1.971 Å, intensity 29, (1 4 3); d = 1.511 Å, intensity 30, (2 2 4)

Entry 3:
Structure and calculated XRD peak list of La3Pr8Er4 (DFT lattice parameters and positions (GGA-PBE); copper Kα).
Neutral-atom scattering factors, no anomalous dispersion.

Structure:
abc: 13.994 12.412 6.982
angles: 90.00 118.74 90.00
Space group C2/m (No. 12)
Unique sites:
La 0.000 0.000 0.000 (multiplicity 2)
La 0.250 0.250 0.500 (multiplicity 4)
Pr 0.000 0.206 0.500 (multiplicity 4)
Pr 0.000 0.253 0.000 (multiplicity 4)
Pr 0.204 0.000 0.665 (multiplicity 4)
Pr 0.245 0.500 0.818 (multiplicity 4)
Er 0.000 0.500 0.000 (multiplicity 2)
Er 0.000 0.500 0.500 (multiplicity 2)
Er 0.250 0.250 0.000 (multiplicity 4)

Principal peaks in the range 2θ = 15–90°, in order of rising 2θ:
d = 3.103 Å, intensity 73, (0 4 0); d = 3.065 Å, intensity 100, (4 0 0); d = 3.043 Å, intensity 34, (2 2 -2); d = 2.745 Å, intensity 25, (0 2 2); d = 2.706 Å, intensity 28, (4 2 -2); d = 2.181 Å, intensity 68, (4 4 0)

Entry 4:
Structure and calculated XRD peak list of La6Pr2Er3 (DFT lattice parameters and positions (GGA-PBE); copper Kα).
Neutral-atom scattering factors, no anomalous dispersion.

Structure:
abc: 6.356 8.196 8.219
angles: 107.22 97.13 105.00
Space group P-1 (No. 2)
Unique sites:
La 0.047 0.183 0.412 (multiplicity 2)
La 0.139 0.546 0.233 (multiplicity 2)
La 0.320 0.274 0.864 (multiplicity 2)
Pr 0.230 0.909 0.049 (multiplicity 2)
Er 0.410 0.639 0.680 (multiplicity 2)
Er 0.500 0.000 0.500 (multiplicity 1)

Principal peaks in the range 2θ = 15–90°, in order of rising 2θ:
d = 3.012 Å, intensity 34, (0 1 2); d = 2.995 Å, intensity 100, (1 2 -1); d = 2.605 Å, intensity 23, (2 0 1); d = 2.594 Å, intensity 45, (1 -3 0); d = 1.842 Å, intensity 16, (1 3 1); d = 1.564 Å, intensity 24, (0 5 -1)

Entry 5:
Structure and calculated XRD peak list of La3Pr4Er5 (DFT lattice parameters and positions (GGA-PBE); copper Kα).
Neutral-atom scattering factors, no anomalous dispersion.

Structure:
abc: 6.307 7.262 8.903
angles: 89.64 89.83 89.86
Space group P-1 (No. 2)
Unique sites:
La 0.000 0.000 0.000 (multiplicity 1)
La 0.498 0.752 0.001 (multiplicity 2)
Pr 0.165 0.248 0.336 (multiplicity 2)
Pr 0.329 0.500 0.666 (multiplicity 2)
Er 0.000 0.500 0.000 (multiplicity 1)
Er 0.168 0.752 0.335 (multiplicity 2)
Er 0.336 0.001 0.662 (multiplicity 2)

Principal peaks in the range 2θ = 15–90°, in order of rising 2θ:
d = 2.971 Å, intensity 100, (1 2 1); d = 2.960 Å, intensity 33, (1 -2 1); d = 2.577 Å, intensity 23, (2 0 2); d = 2.572 Å, intensity 23, (-1 2 2); d = 1.815 Å, intensity 24, (0 4 0); d = 1.549 Å, intensity 24, (3 -2 3)

Entry 6:
Structure and calculated XRD peak list of La6Pr2Er (DFT lattice parameters and positions (GGA-PBE); copper Kα).
Neutral-atom scattering factors, no anomalous dispersion.

Structure:
abc: 9.617 18.182 3.706
angles: 90.00 90.00 90.00
Space group Cmmm (No. 65)
Unique sites:
La 0.171 0.164 0.000 (multiplicity 8)
La 0.181 0.000 0.500 (multiplicity 4)
Pr 0.000 0.328 0.500 (multiplicity 4)
Er 0.000 0.500 0.000 (multiplicity 2)

Principal peaks in the range 2θ = 15–90°, in order of rising 2θ:
d = 3.157 Å, intensity 60, (3 1 0); d = 3.030 Å, intensity 60, (0 6 0); d = 3.004 Å, intensity 100, (1 3 1); d = 2.794 Å, intensity 50, (2 2 1); d = 2.466 Å, intensity 33, (2 4 1); d = 2.405 Å, intensity 29, (3 5 0)